# MnAlO3
Theoretical X-ray powder pattern, Cu Kα. Input: the GGA+U geometry in the Materials Project.
No peak broadening, texture or thermal motion is included.

Principal peaks in the range 10 to 90 degrees two-theta, by intensity:
| hkl | 2theta | I_rel |
| --- | --- | --- |
| 1 2 1 | 33.62 | 100 |
| 3 2 1 | 63.50 | 24 |
| 1 2 3 | 64.38 | 22 |
| 2 0 2 | 52.66 | 20 |
| 0 4 0 | 43.60 | 14 |
| 0 0 2 | 36.88 | 14 |
| 0 3 1 | 37.36 | 13 |
| 1 0 1 | 25.62 | 12 |
| 2 4 0 | 57.93 | 12 |
| 0 4 2 | 58.40 | 12 |
| 2 4 2 | 70.69 | 12 |
| 1 6 1 | 73.68 | 12 |

Crystal structure
```
MnAlO3
1.0
4.9599 0.0000 0.0000
0.0000 8.3033 0.0000
0.0000 0.0000 4.8740
Mn Al O
4 4 12
Direct
0.0000 0.0000 0.0000
0.0000 0.5000 0.0000
0.5000 0.0000 0.5000
0.5000 0.5000 0.5000
0.0080 0.2500 0.4836
0.4920 0.7500 0.9836
0.5080 0.2500 0.0164
0.9920 0.7500 0.5164
0.1672 0.2500 0.1494
0.1734 0.0851 0.6607
0.1734 0.4149 0.6607
0.3266 0.5851 0.1607
0.3266 0.9149 0.1607
0.3328 0.7500 0.6494
0.6672 0.2500 0.3506
0.6734 0.0851 0.8393
0.6734 0.4149 0.8393
0.8266 0.5851 0.3393
0.8266 0.9149 0.3393
0.8328 0.7500 0.8506
```